No. 1
This entry pairs a crystal structure of Li2HgI4 with its theoretical powder diffraction line list. Radiation: Cu Kα (λ = 1.5418 Å). Structure: a cell relaxed with PBE.

Main lines, sorted by position (10° ≤ 2θ ≤ 90°):
- 2θ 13.59, d 6.515, I 17
- 2θ 19.62, d 4.525, I 21
- 2θ 23.95, d 3.716, I 100
- 2θ 39.11, d 2.303, I 23
- 2θ 39.85, d 2.262, I 44
- 2θ 46.38, d 1.958, I 33

Structural model:
Cell lengths 6.515, 6.515, 6.289 Å; angles 90.00, 90.00, 90.00 degrees
Space group P-42m (No. 111)
Symmetry-distinct sites (fractional):
Li: 0.000 0.500 0.000 (multiplicity 2)
Hg: 0.000 0.000 0.500 (multiplicity 1)
I: 0.260 0.260 0.751 (multiplicity 4)


No. 2
This entry pairs a crystal structure of WCl with its theoretical powder diffraction line list. Radiation: Cu Kα (λ = 1.5418 Å). Structure: a cell relaxed with PBE.

Main lines, sorted by position (10° ≤ 2θ ≤ 90°):
- 2θ 27.27, d 3.270, I 53
- 2θ 32.59, d 2.748, I 40
- 2θ 33.35, d 2.687, I 45
- 2θ 36.16, d 2.484, I 100
- 2θ 41.38, d 2.182, I 50
- 2θ 49.06, d 1.857, I 37

Structural model:
Cell lengths 7.114, 2.933, 9.595 Å; angles 90.00, 109.80, 90.00 degrees
Space group C2/m (No. 12)
Symmetry-distinct sites (fractional):
W: 0.086 0.000 0.411 (multiplicity 4)
Cl: 0.049 0.500 0.800 (multiplicity 4)